1.
Theoretical powder X-ray diffraction pattern of RbMgBiF6 for Cu Kα, 1.54184 Å, from a DFT-relaxed cell (GGA-PBE, Alexandria).

Most intense lines, 5 to 70 degrees two-theta, low angle first:
| 2θ/deg | intensity | index |
| --- | --- | --- |
| 14.6 | 67.3 | 1 0 1 |
| 17.0 | 53.2 | 0 0 2 |
| 24.0 | 25.7 | 2 0 0 |
| 26.9 | 100.0 | 1 2 1 |
| 28.3 | 52.3 | 0 2 2 |
| 29.5 | 38.0 | 2 0 2 |
| 36.4 | 38.2 | 1 2 3 |
| 37.4 | 22.8 | 3 0 1 |
| 44.0 | 30.0 | 3 2 1 |
| 48.4 | 35.5 | 2 2 4 |

Cell and atoms:
a b c (Å): 7.4200 7.9326 10.4395
angles (deg): 90.00 90.00 90.00
Space group Imma (No. 74)
Inequivalent atoms, fractional coordinates:
Rb1 0.0000 0.2500 0.0847 [4 per cell]
Mg1 0.2500 0.2500 0.7500 [4 per cell]
Bi1 0.0000 0.0000 0.5000 [4 per cell]
F1 0.0000 0.2500 0.3862 [4 per cell]
F2 0.0000 0.2500 0.6975 [4 per cell]
F3 0.2382 0.0667 0.8852 [16 per cell]



2.
Theoretical powder X-ray diffraction pattern of MgTlBiF6 for Cu Kα, 1.54184 Å, from a DFT-relaxed cell (GGA-PBE, Alexandria).

Most intense lines, 5 to 70 degrees two-theta, low angle first:
| 2θ/deg | intensity | index |
| --- | --- | --- |
| 19.0 | 31.4 | 1 0 1 |
| 23.3 | 100.0 | 1 0 2 |
| 29.2 | 14.2 | 1 0 3 |
| 30.3 | 35.9 | 1 1 0 |
| 38.6 | 24.3 | 2 0 2 |
| 44.1 | 41.4 | 1 1 4 |
| 49.9 | 26.1 | 2 1 2 |
| 51.0 | 11.0 | 1 0 6 |
| 53.9 | 12.9 | 3 0 0 |
| 68.2 | 11.0 | 4 -1 2 |

Cell and atoms:
a b c (Å): 5.8968 5.8968 11.4622
angles (deg): 90.00 90.00 120.00
Space group P-31c (No. 163)
Inequivalent atoms, fractional coordinates:
Mg1 0.3333 0.6667 0.2500 [2 per cell]
Tl1 0.0000 0.0000 0.0000 [2 per cell]
Bi1 0.3333 0.6667 0.7500 [2 per cell]
F1 0.0319 0.3971 0.1512 [12 per cell]



Repeat the first record exactly.
Theoretical powder X-ray diffraction pattern of RbMgBiF6 for Cu Kα, 1.54184 Å, from a DFT-relaxed cell (GGA-PBE, Alexandria).

Most intense lines, 5 to 70 degrees two-theta, low angle first:
| 2θ/deg | intensity | index |
| --- | --- | --- |
| 14.6 | 67.3 | 1 0 1 |
| 17.0 | 53.2 | 0 0 2 |
| 24.0 | 25.7 | 2 0 0 |
| 26.9 | 100.0 | 1 2 1 |
| 28.3 | 52.3 | 0 2 2 |
| 29.5 | 38.0 | 2 0 2 |
| 36.4 | 38.2 | 1 2 3 |
| 37.4 | 22.8 | 3 0 1 |
| 44.0 | 30.0 | 3 2 1 |
| 48.4 | 35.5 | 2 2 4 |

Cell and atoms:
a b c (Å): 7.4200 7.9326 10.4395
angles (deg): 90.00 90.00 90.00
Space group Imma (No. 74)
Inequivalent atoms, fractional coordinates:
Rb1 0.0000 0.2500 0.0847 [4 per cell]
Mg1 0.2500 0.2500 0.7500 [4 per cell]
Bi1 0.0000 0.0000 0.5000 [4 per cell]
F1 0.0000 0.2500 0.3862 [4 per cell]
F2 0.0000 0.2500 0.6975 [4 per cell]
F3 0.2382 0.0667 0.8852 [16 per cell]